[1]
The following is a simulated powder diffractogram of NaYbTiNbO6F. It was derived from a GGA-PBE-relaxed structure, using Cu Kα.
Peak positions follow from Bragg's law for the DFT cell and can differ from measured ones.

Main lines, sorted by position (10 to 80 degrees two-theta):
Position (°2θ)  intensity
17.15  62.5
23.64  26.9
24.89  23.4
29.35  100.0
30.38  92.7
34.59  33.3
38.85  30.0
49.80  63.4
58.19  28.4
59.99  25.3

Structure:
```
NaYbTiNbO6F
1.0
-3.5778 3.7640 5.1705
3.5778 -3.7640 5.1705
3.5778 3.7640 -5.1705
Na Yb Ti Nb O F
2 2 2 2 12 2
Direct
0.5000 0.0000 0.0000 Na
0.5000 0.5000 0.5000 Na
0.0000 0.0000 0.0000 Yb
0.5000 0.0000 0.5000 Yb
0.0000 0.0000 0.5000 Ti
0.0000 0.5000 0.0000 Ti
0.0000 0.5000 0.5000 Nb
0.5000 0.5000 0.0000 Nb
0.0635 0.4150 0.2334 O
0.0635 0.8301 0.6484 O
0.0754 0.8254 0.2500 O
0.3184 0.1699 0.7334 O
0.3184 0.5850 0.1484 O
0.3186 0.5686 0.7500 O
0.6814 0.4314 0.2500 O
0.6816 0.4150 0.8516 O
0.6816 0.8301 0.2666 O
0.9246 0.1746 0.7500 O
0.9365 0.1699 0.3516 O
0.9365 0.5850 0.7666 O
0.3679 0.1179 0.2500 F
0.6321 0.8821 0.7500 F
```

[2]
The following is a simulated powder diffractogram of NaYbTiNbO6F. It was derived from a GGA-PBE-relaxed structure, using Cu Kα.
Peak positions follow from Bragg's law for the DFT cell and can differ from measured ones.

Main lines, sorted by position (10 to 80 degrees two-theta):
Position (°2θ)  intensity
12.07  8.8
19.14  49.8
29.84  100.0
31.08  13.4
34.59  26.0
39.84  14.4
47.18  15.2
49.72  48.7
59.08  40.7
61.98  9.2

Structure:
```
NaYbTiNbO6F
1.0
7.3320 0.0000 0.0000
0.0000 7.3320 0.0000
0.0000 0.0000 10.3798
Na Yb Ti Nb O F
4 4 4 4 24 4
Direct
0.0000 0.2342 0.0000 Na
0.0000 0.7658 0.5000 Na
0.2342 0.0000 0.7500 Na
0.7658 0.0000 0.2500 Na
0.2371 0.5000 0.7500 Yb
0.5000 0.2371 0.0000 Yb
0.5000 0.7629 0.5000 Yb
0.7629 0.5000 0.2500 Yb
0.2597 0.5000 0.2500 Ti
0.5000 0.2597 0.5000 Ti
0.5000 0.7403 0.0000 Ti
0.7403 0.5000 0.7500 Ti
0.0000 0.2598 0.5000 Nb
0.0000 0.7402 0.0000 Nb
0.2598 0.0000 0.2500 Nb
0.7402 0.0000 0.7500 Nb
0.0552 0.4515 0.3677 O
0.0552 0.5485 0.1323 O
0.0633 0.0633 0.3750 O
0.0633 0.9367 0.1250 O
0.2523 0.2752 0.5729 O
0.2523 0.7248 0.9271 O
0.2752 0.2523 0.1771 O
0.2752 0.7477 0.3229 O
0.4515 0.0552 0.3823 O
0.4515 0.9448 0.1177 O
0.4594 0.4594 0.3750 O
0.4594 0.5406 0.1250 O
0.5406 0.4594 0.6250 O
0.5406 0.5406 0.8750 O
0.5485 0.0552 0.6177 O
0.5485 0.9448 0.8823 O
0.7248 0.2523 0.8229 O
0.7248 0.7477 0.6771 O
0.7477 0.2752 0.4271 O
0.7477 0.7248 0.0729 O
0.9367 0.0633 0.6250 O
0.9367 0.9367 0.8750 O
0.9448 0.4515 0.6323 O
0.9448 0.5485 0.8677 O
0.2500 0.2500 0.8750 F
0.2500 0.7500 0.6250 F
0.7500 0.2500 0.1250 F
0.7500 0.7500 0.3750 F
```

[3]
The following is a simulated powder diffractogram of RbNaNbF6. It was derived from a GGA-PBE-relaxed structure, using Cu Kα.
Peak positions follow from Bragg's law for the DFT cell and can differ from measured ones.

Main lines, sorted by position (10 to 80 degrees two-theta):
Position (°2θ)  intensity
15.69  11.9
18.79  41.3
23.25  100.0
29.76  26.5
33.81  12.4
38.10  20.7
44.02  47.3
49.07  24.1
52.81  17.1
66.96  10.6

Structure:
```
RbNaNbF6
1.0
6.0050 0.0000 0.0000
-3.0025 5.2005 0.0000
0.0000 0.0000 11.2949
Rb Na Nb F
2 2 2 12
Direct
0.0000 0.0000 0.0000 Rb
0.0000 0.0000 0.5000 Rb
0.3333 0.6667 0.2500 Na
0.6667 0.3333 0.7500 Na
0.3333 0.6667 0.7500 Nb
0.6667 0.3333 0.2500 Nb
0.0387 0.3932 0.6547 F
0.0387 0.6455 0.8453 F
0.3545 0.3932 0.8453 F
0.3545 0.9613 0.6547 F
0.3932 0.0387 0.1547 F
0.3932 0.3545 0.3453 F
0.6068 0.6455 0.6547 F
0.6068 0.9613 0.8453 F
0.6455 0.0387 0.3453 F
0.6455 0.6068 0.1547 F
0.9613 0.3545 0.1547 F
0.9613 0.6068 0.3453 F
```

[4]
The following is a simulated powder diffractogram of Na2NbTlF8. It was derived from a GGA-PBE-relaxed structure, using Cu Kα.
Peak positions follow from Bragg's law for the DFT cell and can differ from measured ones.

Main lines, sorted by position (10 to 80 degrees two-theta):
Position (°2θ)  intensity
16.31  100.0
17.93  69.2
21.79  60.6
22.79  81.1
25.78  62.4
26.32  47.7
27.74  41.5
28.29  41.7
33.69  29.9
34.30  30.3

Structure:
```
Na2NbTlF8
1.0
4.9905 0.0000 0.0000
0.6851 5.4504 0.0000
0.4276 0.6104 8.1590
Na Nb Tl F
2 1 1 8
Direct
0.0451 0.0337 0.2997 Na
0.9549 0.9663 0.7003 Na
0.5000 0.5000 0.0000 Nb
0.5000 0.5000 0.5000 Tl
0.1590 0.1966 0.5169 F
0.2448 0.2624 0.0425 F
0.2881 0.6726 0.8242 F
0.3038 0.7083 0.1586 F
0.6962 0.2917 0.8414 F
0.7119 0.3274 0.1758 F
0.7552 0.7376 0.9575 F
0.8410 0.8034 0.4831 F
```

[5]
The following is a simulated powder diffractogram of Na2Nd2F7. It was derived from a GGA-PBE-relaxed structure, using Cu Kα.
Peak positions follow from Bragg's law for the DFT cell and can differ from measured ones.

Main lines, sorted by position (10 to 80 degrees two-theta):
Position (°2θ)  intensity
15.81  77.3
22.28  30.7
22.61  41.7
27.44  73.2
27.71  100.0
31.94  34.4
35.84  49.0
39.28  27.1
45.80  68.7
54.08  29.1

Structure:
```
Na2Nd2F7
1.0
3.9326 -3.9896 0.0000
3.9326 3.9896 0.0000
0.0000 0.0000 5.6058
Na Nd F
2 2 7
Direct
0.2316 0.7684 0.0000 Na
0.7684 0.2316 0.0000 Na
0.2473 0.2473 0.5000 Nd
0.7527 0.7527 0.5000 Nd
0.0000 0.0000 0.2581 F
0.0000 0.0000 0.7419 F
0.0000 0.5000 0.2678 F
0.0000 0.5000 0.7322 F
0.5000 0.0000 0.2678 F
0.5000 0.0000 0.7322 F
0.5000 0.5000 0.0000 F
```

[6]
The following is a simulated powder diffractogram of Na5Nd4Si4O16F. It was derived from a GGA-PBE-relaxed structure, using Cu Kα.
Peak positions follow from Bragg's law for the DFT cell and can differ from measured ones.

Main lines, sorted by position (10 to 80 degrees two-theta):
Position (°2θ)  intensity
10.41  59.1
17.64  100.0
23.06  57.3
23.40  51.7
27.48  72.4
31.32  88.8
32.34  54.0
34.78  66.2
47.13  51.6
48.94  44.9

Structure:
```
Na5Nd4Si4O16F
1.0
-6.0104 6.0104 2.7681
6.0104 -6.0104 2.7681
6.0104 6.0104 -2.7681
Na Nd Si O F
5 4 4 16 1
Direct
0.0000 0.0000 0.0000 Na
0.0896 0.5728 0.6941 Na
0.4272 0.1213 0.5167 Na
0.6045 0.9104 0.4833 Na
0.8787 0.3955 0.3059 Na
0.2938 0.3611 0.6993 Nd
0.4055 0.7062 0.0673 Nd
0.6389 0.3381 0.9326 Nd
0.6619 0.5945 0.3007 Nd
0.1123 0.2586 0.3498 Si
0.2375 0.8877 0.1463 Si
0.7414 0.0912 0.8537 Si
0.9088 0.7625 0.6502 Si
0.0393 0.2708 0.8634 O
0.0781 0.3558 0.4904 O
0.1451 0.7106 0.9728 O
0.2251 0.0462 0.7493 O
0.2894 0.2622 0.4345 O
0.2969 0.4758 0.2507 O
0.4074 0.1759 0.1366 O
0.4123 0.9219 0.2777 O
0.5242 0.7749 0.8211 O
0.6442 0.1346 0.7223 O
0.7292 0.5926 0.7685 O
0.7378 0.1723 0.0272 O
0.8241 0.9607 0.2315 O
0.8277 0.8549 0.5655 O
0.8654 0.5877 0.5096 O
0.9538 0.7031 0.1789 O
0.5000 0.5000 0.0000 F
```

[7]
The following is a simulated powder diffractogram of Na2NdTiF8. It was derived from a GGA-PBE-relaxed structure, using Cu Kα.
Peak positions follow from Bragg's law for the DFT cell and can differ from measured ones.

Main lines, sorted by position (10 to 80 degrees two-theta):
Position (°2θ)  intensity
11.80  24.4
15.99  66.8
19.92  22.5
23.43  19.6
23.73  20.5
28.28  35.0
28.73  100.0
47.02  41.1
47.58  38.4
47.92  20.3

Structure:
```
Na2NdTiF8
1.0
3.7971 0.0000 0.0000
0.0000 7.4994 0.0000
-0.0880 0.0000 5.5421
Na Nd Ti F
2 1 1 8
Direct
0.0000 0.2279 0.0000 Na
0.0000 0.7721 0.0000 Na
0.5000 0.5000 0.5000 Nd
0.5000 0.0000 0.5000 Ti
0.0026 0.5000 0.7479 F
0.0140 0.0000 0.2912 F
0.4905 0.2264 0.7247 F
0.4905 0.7736 0.7247 F
0.5095 0.2264 0.2753 F
0.5095 0.7736 0.2753 F
0.9860 0.0000 0.7088 F
0.9974 0.5000 0.2521 F
```